Calculated powder XRD pattern of BeBS for Cu Ka, from a crystal structure in Alexandria, relaxed with GGA-PBE.

The 8 most intense peaks (15° ≤ 2θ ≤ 90°), by angle:
hkl 0 1 -1, 21.1 deg, intensity 96.7; hkl 0 1 1, 25.2 deg, intensity 100.0; hkl 0 0 2, 29.6 deg, intensity 17.8; hkl 1 0 -1, 31.7 deg, intensity 51.6; hkl 1 0 1, 31.9 deg, intensity 54.6; hkl 1 1 0, 33.5 deg, intensity 52.8; hkl 1 1 -2, 42.8 deg, intensity 17.9; hkl 1 -1 2, 43.2 deg, intensity 17.1

Atomic structure:
Cell: 3.1772 5.0260 6.1398 Å, 100.03 90.54 90.00°
Element x y z (fractional)
1 Be 0.2500 0.1782 0.0020
2 Be 0.7500 0.8218 0.9980
3 B 0.2493 0.5461 0.9610
4 B 0.7507 0.4539 0.0390
5 S 0.2459 0.8166 0.7687
6 S 0.7541 0.1834 0.2313

Calculated powder XRD pattern of ScBeB4 for Cu Ka, from a crystal structure in Alexandria, relaxed with GGA-PBE.

The 8 most intense peaks (15° ≤ 2θ ≤ 90°), by angle:
hkl 1 2 0, 22.3 deg, intensity 39.9; hkl 1 3 0, 28.7 deg, intensity 26.4; hkl 2 1 0, 32.2 deg, intensity 45.3; hkl 1 2 1, 36.0 deg, intensity 46.0; hkl 1 3 1, 40.5 deg, intensity 44.0; hkl 2 1 1, 43.1 deg, intensity 100.0; hkl 0 6 0, 49.2 deg, intensity 21.1; hkl 2 5 0, 52.0 deg, intensity 22.5

Atomic structure:
Cell: 5.7450 11.1198 3.1917 Å, 90.00 90.00 90.00°
Element x y z (fractional)
1 Sc 0.1263 0.1512 0.0000
2 Sc 0.3737 0.6512 0.0000
3 Sc 0.6263 0.3488 0.0000
4 Sc 0.8737 0.8488 0.0000
5 Be 0.1330 0.4134 0.0000
6 Be 0.3670 0.9134 0.0000
7 Be 0.6330 0.0866 0.0000
8 Be 0.8670 0.5866 0.0000
9 B 0.0244 0.6934 0.5000
10 B 0.1135 0.5474 0.5000
11 B 0.1343 0.9684 0.5000
12 B 0.2126 0.8138 0.5000
13 B 0.2874 0.3138 0.5000
14 B 0.3657 0.4684 0.5000
15 B 0.3865 0.0474 0.5000
16 B 0.4756 0.1934 0.5000
17 B 0.5244 0.8066 0.5000
18 B 0.6135 0.9526 0.5000
19 B 0.6343 0.5316 0.5000
20 B 0.7126 0.6862 0.5000
21 B 0.7874 0.1862 0.5000
22 B 0.8657 0.0316 0.5000
23 B 0.8865 0.4526 0.5000
24 B 0.9756 0.3066 0.5000